Diffraction record for MgTi4S8. The powder diffraction line list is computed, not measured: it uses a crystal structure in the Materials Project, relaxed with PBE and Cu Kα (weighted mean of Kα1 and Kα2).

Principal peaks in the range 2θ from 10° to 90°, in order of rising 2θ:
2θ 14.14, rel. 63
2θ 30.61, rel. 17
2θ 35.88, rel. 100
2θ 45.64, rel. 11
2θ 49.56, rel. 35
2θ 53.69, rel. 28
2θ 55.82, rel. 8
2θ 66.28, rel. 14
2θ 76.07, rel. 9
2θ 83.82, rel. 13

Structural model:
```
MgTi4S8
1.0
3.414 1.971 6.265
-3.414 1.971 6.265
0.000 -3.942 6.265
Mg Ti S
1 4 8
Direct
0.000 0.000 0.000
0.000 0.000 0.500
0.000 0.500 0.000
0.500 0.000 0.000
0.500 0.500 0.500
0.242 0.242 0.242
0.246 0.744 0.744
0.256 0.256 0.754
0.256 0.754 0.256
0.744 0.246 0.744
0.744 0.744 0.246
0.754 0.256 0.256
0.758 0.758 0.758
```